1.
The following is a theoretical powder diffractogram of Cd9PbAu2. It was derived from DFT lattice parameters and positions (PBE), using copper Kα.
Neutral-atom scattering factors, no anomalous dispersion.

Principal peaks in the range 15° ≤ 2θ ≤ 90°, sorted by position:
| d [Å] | Rel. int. |
| --- | --- |
| 3.053 | 34 |
| 2.689 | 100 |
| 2.487 | 25 |
| 2.291 | 53 |
| 2.196 | 36 |
| 1.552 | 19 |

Cell and atoms:
```
Cd9PbAu2
1.0
-6.0053 6.0053 3.8132
6.0053 -6.0053 3.8132
6.0053 6.0053 -3.8132
Cd Pb Au
18 2 4
direct
0.0566 0.2263 0.4281
0.0566 0.6285 0.8303
0.2263 0.0566 0.9281
0.2263 0.2982 0.1697
0.2982 0.2263 0.6697
0.2982 0.6285 0.0719
0.3715 0.7018 0.4281
0.3715 0.9434 0.6697
0.3750 0.6250 0.7500
0.6250 0.3750 0.2500
0.6285 0.0566 0.3303
0.6285 0.2982 0.5719
0.7018 0.3715 0.9281
0.7018 0.7737 0.3303
0.7737 0.7018 0.8303
0.7737 0.9434 0.0719
0.9434 0.3715 0.1697
0.9434 0.7737 0.5719
0.1250 0.8750 0.2500
0.8750 0.1250 0.7500
0.0000 0.5000 0.5000
0.5000 0.0000 0.0000
0.5000 0.5000 0.0000
0.5000 0.5000 0.5000
```

2.
The following is a theoretical powder diffractogram of Pu2ScPaTe4. It was derived from DFT lattice parameters and positions (PBE), using copper Kα.
Neutral-atom scattering factors, no anomalous dispersion.

Principal peaks in the range 15° ≤ 2θ ≤ 90°, sorted by position:
| d [Å] | Rel. int. |
| --- | --- |
| 3.072 | 100 |
| 2.204 | 13 |
| 2.181 | 26 |
| 2.163 | 25 |
| 1.757 | 13 |
| 1.536 | 13 |

Cell and atoms:
```
Pu2ScPaTe4
1.0
7.5185 0.0000 0.0000
0.0000 4.2840 0.0000
-2.4306 0.0000 7.2028
Pu Sc Pa Te
2 1 1 4
direct
0.0000 0.0000 0.0000
0.0000 0.5000 0.5000
0.5000 0.0000 0.5000
0.5000 0.5000 0.0000
0.2554 0.0000 0.7425
0.2629 0.5000 0.2630
0.7371 0.5000 0.7370
0.7446 0.0000 0.2575
```

3.
The following is a theoretical powder diffractogram of Rb3Na3VCl8. It was derived from DFT lattice parameters and positions (PBE), using copper Kα.
Neutral-atom scattering factors, no anomalous dispersion.

Principal peaks in the range 15° ≤ 2θ ≤ 90°, sorted by position:
| d [Å] | Rel. int. |
| --- | --- |
| 3.033 | 100 |
| 2.809 | 17 |
| 2.210 | 29 |
| 2.085 | 33 |
| 1.718 | 15 |
| 1.326 | 11 |

Cell and atoms:
```
Rb3Na3VCl8
1.0
4.1702 2.4077 7.4496
-4.1702 2.4077 7.4496
0.0000 -4.8153 7.4496
Rb Na V Cl
3 3 1 8
direct
0.0000 0.5000 0.5000
0.5000 0.0000 0.5000
0.5000 0.5000 0.0000
0.0000 0.0000 0.5000
0.0000 0.5000 0.0000
0.5000 0.0000 0.0000
0.5000 0.5000 0.5000
0.2359 0.2359 0.2359
0.2677 0.7099 0.7099
0.2901 0.2901 0.7323
0.2901 0.7323 0.2901
0.7099 0.2677 0.7099
0.7099 0.7099 0.2677
0.7323 0.2901 0.2901
0.7641 0.7641 0.7641
```

4.
The following is a theoretical powder diffractogram of Cr3Co2Ni8. It was derived from DFT lattice parameters and positions (PBE), using copper Kα.
Neutral-atom scattering factors, no anomalous dispersion.

Principal peaks in the range 15° ≤ 2θ ≤ 90°, sorted by position:
| d [Å] | Rel. int. |
| --- | --- |
| 2.285 | 40 |
| 2.045 | 100 |
| 1.957 | 90 |
| 1.895 | 38 |
| 1.800 | 52 |
| 1.268 | 36 |

Cell and atoms:
```
Cr3Co2Ni8
1.0
2.2850 1.3192 8.7579
-2.2850 1.3192 8.7579
0.0000 -2.6385 8.7579
Cr Co Ni
3 2 8
direct
0.0000 0.0000 0.0000
0.1842 0.1842 0.1842
0.8158 0.8158 0.8158
0.3603 0.3603 0.3603
0.6397 0.6397 0.6397
0.2294 0.7300 0.7300
0.2700 0.2700 0.7706
0.2700 0.7706 0.2700
0.2753 0.2753 0.2753
0.7247 0.7247 0.7247
0.7300 0.2294 0.7300
0.7300 0.7300 0.2294
0.7706 0.2700 0.2700
```

5.
The following is a theoretical powder diffractogram of Y2Cr2Ni15. It was derived from DFT lattice parameters and positions (PBE), using copper Kα.
Neutral-atom scattering factors, no anomalous dispersion.

Principal peaks in the range 15° ≤ 2θ ≤ 90°, sorted by position:
| d [Å] | Rel. int. |
| --- | --- |
| 2.392 | 29 |
| 2.071 | 47 |
| 2.060 | 100 |
| 2.027 | 36 |
| 1.844 | 42 |
| 1.196 | 22 |

Cell and atoms:
```
Y2Cr2Ni15
1.0
4.1424 2.3916 4.0546
-4.1424 2.3916 4.0546
0.0000 -4.7832 4.0546
Y Cr Ni
2 2 15
direct
0.1591 0.1591 0.1591
0.8409 0.8409 0.8409
0.4201 0.4201 0.4201
0.5799 0.5799 0.5799
0.0000 0.5000 0.5000
0.1590 0.1590 0.6544
0.1590 0.6544 0.1590
0.1974 0.5000 0.8026
0.1974 0.8026 0.5000
0.3456 0.8410 0.8410
0.5000 0.0000 0.5000
0.5000 0.1974 0.8026
0.5000 0.5000 0.0000
0.5000 0.8026 0.1974
0.6544 0.1590 0.1590
0.8026 0.1974 0.5000
0.8026 0.5000 0.1974
0.8410 0.3456 0.8410
0.8410 0.8410 0.3456
```

6.
The following is a theoretical powder diffractogram of MgO2F3. It was derived from DFT lattice parameters and positions (PBE), using copper Kα.
Neutral-atom scattering factors, no anomalous dispersion.

Principal peaks in the range 15° ≤ 2θ ≤ 90°, sorted by position:
| d [Å] | Rel. int. |
| --- | --- |
| 3.745 | 20 |
| 2.888 | 20 |
| 2.694 | 20 |
| 2.659 | 100 |
| 2.287 | 14 |
| 1.889 | 15 |

Cell and atoms:
```
MgO2F3
1.0
7.5407 -2.8876 0.0000
7.5407 2.8876 0.0000
-0.4177 0.0000 3.5885
Mg O F
2 4 6
direct
0.2498 0.7502 0.7500
0.7502 0.2498 0.2500
0.2015 0.2016 0.1017
0.2016 0.2015 0.6017
0.7984 0.7985 0.3983
0.7985 0.7984 0.8983
0.1288 0.8712 0.2500
0.4112 0.4115 0.4579
0.4115 0.4112 0.9579
0.5885 0.5888 0.0421
0.5888 0.5885 0.5421
0.8712 0.1288 0.7500
```

7.
The following is a theoretical powder diffractogram of CaNdP2Rh5. It was derived from DFT lattice parameters and positions (PBE), using copper Kα.
Neutral-atom scattering factors, no anomalous dispersion.

Principal peaks in the range 15° ≤ 2θ ≤ 90°, sorted by position:
| d [Å] | Rel. int. |
| --- | --- |
| 2.442 | 100 |
| 2.232 | 17 |
| 2.063 | 37 |
| 1.515 | 19 |
| 1.325 | 16 |
| 1.252 | 23 |

Cell and atoms:
```
CaNdP2Rh5
1.0
4.1251 0.0000 0.0000
0.0000 4.1251 0.0000
0.0000 0.0000 8.9261
Ca Nd P Rh
1 1 2 5
direct
0.0000 0.0000 0.0000
0.0000 0.0000 0.5000
0.5000 0.5000 0.1423
0.5000 0.5000 0.8577
0.0000 0.5000 0.2548
0.0000 0.5000 0.7452
0.5000 0.0000 0.2548
0.5000 0.0000 0.7452
0.5000 0.5000 0.5000
```

8.
The following is a theoretical powder diffractogram of KH3F4. It was derived from DFT lattice parameters and positions (PBE), using copper Kα.
Neutral-atom scattering factors, no anomalous dispersion.

Principal peaks in the range 15° ≤ 2θ ≤ 90°, sorted by position:
| d [Å] | Rel. int. |
| --- | --- |
| 3.734 | 36 |
| 2.802 | 73 |
| 2.774 | 93 |
| 2.241 | 25 |
| 2.156 | 100 |
| 1.922 | 32 |

Cell and atoms:
```
KH3F4
1.0
3.7335 2.1556 4.1462
-3.7335 2.1556 4.1462
0.0000 -4.3111 4.1462
K H F
2 6 8
direct
0.0000 0.0000 0.0000
0.5000 0.5000 0.5000
0.0626 0.2500 0.4374
0.2500 0.4374 0.0626
0.4374 0.0626 0.2500
0.5626 0.9374 0.7500
0.7500 0.5626 0.9374
0.9374 0.7500 0.5626
0.0717 0.7500 0.4283
0.2500 0.2500 0.2500
0.2500 0.5717 0.9283
0.4283 0.0717 0.7500
0.5717 0.9283 0.2500
0.7500 0.4283 0.0717
0.7500 0.7500 0.7500
0.9283 0.2500 0.5717
```

9.
The following is a theoretical powder diffractogram of Tl2TePdSe4. It was derived from DFT lattice parameters and positions (PBE), using copper Kα.
Neutral-atom scattering factors, no anomalous dispersion.

Principal peaks in the range 15° ≤ 2θ ≤ 90°, sorted by position:
| d [Å] | Rel. int. |
| --- | --- |
| 3.954 | 58 |
| 3.423 | 100 |
| 3.020 | 68 |
| 2.811 | 98 |
| 2.602 | 57 |
| 2.449 | 53 |

Cell and atoms:
```
Tl2TePdSe4
1.0
5.9195 0.0000 0.0000
-1.6420 6.0523 0.0000
-2.1562 -2.6063 6.5098
Tl Te Pd Se
2 1 1 4
direct
0.0000 0.0000 0.0000
0.0643 0.4226 0.6746
0.3473 0.8820 0.4935
0.6950 0.4156 0.2532
0.0177 0.5591 0.1210
0.4574 0.3070 0.4683
0.4997 0.0282 0.9644
0.8405 0.8292 0.5038
```

10.
The following is a theoretical powder diffractogram of DyRh6. It was derived from DFT lattice parameters and positions (PBE), using copper Kα.
Neutral-atom scattering factors, no anomalous dispersion.

Principal peaks in the range 15° ≤ 2θ ≤ 90°, sorted by position:
| d [Å] | Rel. int. |
| --- | --- |
| 2.491 | 79 |
| 2.416 | 100 |
| 2.387 | 69 |
| 2.166 | 40 |
| 2.041 | 41 |
| 2.020 | 44 |

Cell and atoms:
```
DyRh6
1.0
8.4864 0.0000 0.0000
0.0000 5.1921 0.0000
0.0000 0.0000 10.4238
Dy Rh
4 24
direct
0.2426 0.2500 0.0606
0.2574 0.7500 0.5606
0.7426 0.2500 0.4394
0.7574 0.7500 0.9394
0.0591 0.7500 0.0815
0.0608 0.0057 0.3067
0.0608 0.4943 0.3067
0.1132 0.2500 0.5201
0.1513 0.7500 0.8435
0.1851 0.2500 0.7674
0.3149 0.7500 0.2674
0.3487 0.2500 0.3435
0.3868 0.7500 0.0201
0.4392 0.5057 0.8067
0.4392 0.9943 0.8067
0.4409 0.2500 0.5815
0.5591 0.7500 0.4185
0.5608 0.0057 0.1933
0.5608 0.4943 0.1933
0.6132 0.2500 0.9799
0.6513 0.7500 0.6565
0.6851 0.2500 0.7326
0.8149 0.7500 0.2326
0.8487 0.2500 0.1565
0.8868 0.7500 0.4799
0.9392 0.5057 0.6933
0.9392 0.9943 0.6933
0.9409 0.2500 0.9185
```

11.
The following is a theoretical powder diffractogram of Dy3Ge7Ir2. It was derived from DFT lattice parameters and positions (PBE), using copper Kα.
Neutral-atom scattering factors, no anomalous dispersion.

Principal peaks in the range 15° ≤ 2θ ≤ 90°, sorted by position:
| d [Å] | Rel. int. |
| --- | --- |
| 2.857 | 53 |
| 2.613 | 100 |
| 2.575 | 67 |
| 2.342 | 65 |
| 2.154 | 64 |
| 2.129 | 59 |

Cell and atoms:
```
Dy3Ge7Ir2
1.0
4.3073 0.0000 0.0000
0.0000 4.2586 0.0000
-2.1534 0.0000 12.9311
Dy Ge Ir
3 7 2
direct
0.0000 0.0000 0.0000
0.3184 0.5000 0.6362
0.6816 0.5000 0.3638
0.0846 0.5000 0.1684
0.2241 0.0000 0.4478
0.4140 0.0000 0.8303
0.5000 0.5000 0.0000
0.5860 0.0000 0.1697
0.7759 0.0000 0.5522
0.9154 0.5000 0.8316
0.1323 0.0000 0.2621
0.8677 0.0000 0.7379
```

12.
The following is a theoretical powder diffractogram of LaDyB12. It was derived from DFT lattice parameters and positions (PBE), using copper Kα.
Neutral-atom scattering factors, no anomalous dispersion.

Principal peaks in the range 15° ≤ 2θ ≤ 90°, sorted by position:
| d [Å] | Rel. int. |
| --- | --- |
| 4.125 | 67 |
| 2.917 | 100 |
| 2.382 | 42 |
| 1.845 | 50 |
| 1.684 | 28 |
| 1.375 | 28 |

Cell and atoms:
```
LaDyB12
1.0
4.1253 0.0000 0.0000
0.0000 4.1253 0.0000
0.0000 0.0000 8.2490
La Dy B
1 1 12
direct
0.0000 0.0000 0.0000
0.0000 0.0000 0.5000
0.1993 0.5000 0.2525
0.1993 0.5000 0.7475
0.5000 0.1993 0.2525
0.5000 0.1993 0.7475
0.5000 0.5000 0.1007
0.5000 0.5000 0.4016
0.5000 0.5000 0.5984
0.5000 0.5000 0.8993
0.5000 0.8007 0.2525
0.5000 0.8007 0.7475
0.8007 0.5000 0.2525
0.8007 0.5000 0.7475
```

What is the formula in the eleventh record?
Dy3Ge7Ir2